1.
# Pr5Er2Mg
Calculated powder X-ray diffraction pattern, Cu Kα, 1.54184 Å. Input: a crystal structure in Alexandria, relaxed with PBE.

Cell and atoms:
a = 7.258 Å, b = 7.176 Å, c = 7.176 Å
α = 60.76°, β = 59.62°, γ = 59.62°
Fractional coordinates of all 8 atoms:
Pr 0.000 0.000 0.000
Pr 0.000 0.000 0.500
Pr 0.500 0.500 0.000
Pr 0.501 0.998 0.499
Pr 0.998 0.501 0.002
Er 0.001 0.499 0.501
Er 0.499 0.001 0.999
Mg 0.500 0.500 0.500

Main lines, most intense first (2θ = 10–90°):
30.40°, 2.940 Å, intensity 100.0; 34.96°, 2.566 Å, intensity 34.5; 59.90°, 1.544 Å, intensity 29.3; 50.91°, 1.794 Å, intensity 23.7; 35.80°, 2.508 Å, intensity 16.2; 61.02°, 1.519 Å, intensity 13.7; 63.25°, 1.470 Å, intensity 12.3; 50.28°, 1.815 Å, intensity 12.3; 82.90°, 1.165 Å, intensity 11.6; 15.07°, 5.880 Å, intensity 6.2

2.
# Pr2ErMg3
Calculated powder X-ray diffraction pattern, Cu Kα, 1.54184 Å. Input: a crystal structure in Alexandria, relaxed with PBE.

Cell and atoms:
a = 3.849 Å, b = 3.849 Å, c = 11.665 Å
α = 90.00°, β = 90.00°, γ = 90.00°
Fractional coordinates of all 6 atoms:
Pr 0.000 0.000 0.173
Pr 0.000 0.000 0.827
Er 0.000 0.000 0.500
Mg 0.500 0.500 0.000
Mg 0.500 0.500 0.345
Mg 0.500 0.500 0.655

Main lines, most intense first (2θ = 10–90°):
32.74°, 2.735 Å, intensity 100.0; 23.11°, 3.849 Å, intensity 60.4; 32.91°, 2.721 Å, intensity 49.9; 58.66°, 1.574 Å, intensity 37.4; 22.87°, 3.888 Å, intensity 30.9; 40.46°, 2.230 Å, intensity 28.3; 58.33°, 1.582 Å, intensity 18.3; 47.24°, 1.924 Å, intensity 18.1; 78.56°, 1.218 Å, intensity 15.9; 52.75°, 1.735 Å, intensity 13.1

3.
# PrEr2Mg2
Calculated powder X-ray diffraction pattern, Cu Kα, 1.54184 Å. Input: a crystal structure in Alexandria, relaxed with PBE.

Cell and atoms:
a = 3.752 Å, b = 5.492 Å, c = 14.093 Å
α = 90.00°, β = 97.67°, γ = 90.00°
Fractional coordinates of all 10 atoms:
Pr 0.152 0.250 0.301
Pr 0.848 0.750 0.699
Er 0.045 0.750 0.089
Er 0.237 0.750 0.475
Er 0.763 0.250 0.525
Er 0.955 0.250 0.911
Mg 0.360 0.250 0.720
Mg 0.449 0.750 0.899
Mg 0.551 0.250 0.101
Mg 0.640 0.750 0.280

Main lines, most intense first (2θ = 10–90°):
33.06°, 2.710 Å, intensity 100.0; 25.08°, 3.551 Å, intensity 29.3; 32.61°, 2.746 Å, intensity 27.6; 32.04°, 2.793 Å, intensity 22.4; 23.93°, 3.719 Å, intensity 20.0; 58.48°, 1.578 Å, intensity 19.5; 46.37°, 1.958 Å, intensity 16.1; 20.57°, 4.317 Å, intensity 13.9; 55.01°, 1.669 Å, intensity 12.6; 57.76°, 1.596 Å, intensity 11.9